This entry pairs a crystal structure of Mg2ZrAu2 with its theoretical powder XRD pattern. Radiation: CuKα. Structure: a PBE-relaxed structure.
Lines closer than 0.1° are merged.

Crystal structure
Lattice parameters (Å, degrees): 4.627 4.683 9.871 90.00 90.00 90.00
Space group Pmmn (No. 59, origin choice 2)
Symmetry-distinct sites (fractional):
Mg: 0.250 0.250 0.008 [2 per cell]
Mg: 0.250 0.250 0.325 [2 per cell]
Zr: 0.250 0.250 0.676 [2 per cell]
Au: 0.250 0.750 0.162 [2 per cell]
Au: 0.250 0.750 0.511 [2 per cell]

Principal peaks in the range 15° ≤ 2θ ≤ 90°, low angle first:
d = 4.231 Å, I = 37.7; d = 3.376 Å, I = 32.3; d = 3.291 Å, I = 40.7; d = 2.342 Å, I = 26.1; d = 2.327 Å, I = 100.0; d = 2.314 Å, I = 25.3; d = 1.924 Å, I = 13.6; d = 1.646 Å, I = 25.6; d = 1.349 Å, I = 18.2; d = 1.338 Å, I = 17.3



This entry pairs a crystal structure of Mg2ZrAu with its theoretical powder XRD pattern. Radiation: CuKα. Structure: a PBE-relaxed structure.
Lines closer than 0.1° are merged.

Crystal structure
Lattice parameters (Å, degrees): 3.047 4.561 6.107 90.00 104.32 90.00
Space group Pm (No. 6)
Symmetry-distinct sites (fractional):
Mg: 0.000 0.000 0.000 [1 per cell]
Mg: 0.388 0.500 0.779 [1 per cell]
Zr: 0.652 0.500 0.303 [1 per cell]
Au: 0.254 0.000 0.507 [1 per cell]

Principal peaks in the range 15° ≤ 2θ ≤ 90°, low angle first:
d = 3.613 Å, I = 26.8; d = 2.955 Å, I = 12.3; d = 2.479 Å, I = 100.0; d = 2.411 Å, I = 21.5; d = 2.281 Å, I = 17.7; d = 2.132 Å, I = 20.7; d = 2.128 Å, I = 10.5; d = 1.657 Å, I = 13.6; d = 1.446 Å, I = 12.3; d = 1.352 Å, I = 11.1